# PmGa2Si
Simulated XRD peak list, Cu Kα X-rays. Input: a PBE-relaxed structure.
Kinematic intensities with the Lorentz-polarization factor, no thermal factor.

Cell lengths 4.491, 4.211, 8.904 Å; angles 90.00, 101.89, 90.00 degrees
Element x y z (fractional)
Pm 0.081 0.250 0.205
Pm 0.919 0.750 0.795
Ga 0.253 0.750 0.493
Ga 0.468 0.750 0.068
Ga 0.532 0.250 0.932
Ga 0.747 0.250 0.507
Si 0.318 0.250 0.657
Si 0.682 0.750 0.343

Peak list (10 most intense, 10 to 80 degrees two-theta, in order of rising 2θ)
d [Å]	Position (°2θ)	Rel. int.	h k l
3.792	23.5	23.9	0 1 1
3.007	29.7	18.4	1 1 -1
2.817	31.8	39.5	1 0 2
2.751	32.5	79.9	1 1 1
2.679	33.4	100.0	1 1 -2
2.391	37.6	34.1	0 1 3
2.243	40.2	36.8	2 0 -1
2.106	43.0	36.7	0 2 0
1.935	47.0	25.0	0 1 4
1.535	60.3	21.9	2 2 -1